Diffraction record for Rb2TbMgCl6. The powder diffractogram is simulated, not measured: it uses the GGA-PBE geometry in Alexandria and Cu Kα (weighted mean of Kα1 and Kα2).

Main lines, low angle first (2θ = 10–90°):
hkl 1 1 0, 14.41 deg, intensity 21.5
hkl 2 0 -1, 14.82 deg, intensity 21.3
hkl 0 2 0, 23.46 deg, intensity 21.8
hkl 1 1 1, 23.98 deg, intensity 82.0
hkl 2 0 -2, 24.48 deg, intensity 19.4
hkl 4 0 0, 34.17 deg, intensity 100.0
hkl 1 3 1, 41.55 deg, intensity 19.6
hkl 5 1 -3, 42.78 deg, intensity 18.1
hkl 2 2 2, 49.09 deg, intensity 44.4
hkl 5 1 1, 55.35 deg, intensity 17.8

Crystal structure
Unit cell a=12.761 b=7.583 c=7.274 alpha=90.00 beta=124.66 gamma=90.00
Space group C2/m (No. 12)
One atom of each set of equivalent atoms:
Rb 0.248 0.000 0.248 (multiplicity 4)
Tb 0.000 0.000 0.500 (multiplicity 2)
Mg 0.000 0.500 0.000 (multiplicity 2)
Cl 0.000 0.263 0.244 (multiplicity 8)
Cl 0.240 0.500 0.240 (multiplicity 4)

---

Diffraction record for Pa8InOs6. The powder diffractogram is simulated, not measured: it uses the GGA-PBE geometry in Alexandria and Cu Kα (weighted mean of Kα1 and Kα2).

Main lines, low angle first (2θ = 10–90°):
hkl 1 0 0, 10.05 deg, intensity 21.3
hkl 3 0 0, 30.46 deg, intensity 39.6
hkl 2 0 1, 30.67 deg, intensity 55.6
hkl 1 2 1, 35.50 deg, intensity 100.0
hkl 1 3 0, 36.81 deg, intensity 49.2
hkl 4 -2 1, 42.48 deg, intensity 29.4
hkl 0 0 2, 46.69 deg, intensity 21.5
hkl 5 -3 1, 50.94 deg, intensity 20.5
hkl 1 3 2, 60.89 deg, intensity 21.5
hkl 5 3 1, 80.21 deg, intensity 28.4

Crystal structure
Unit cell a=10.1664 b=10.1664 c=3.8906 alpha=90.00 beta=90.00 gamma=120.00
Space group P-3 (No. 147)
One atom of each set of equivalent atoms:
Pa 0.0537 0.3209 0.2352 (multiplicity 6)
Pa 0.3333 0.6667 0.7439 (multiplicity 2)
In 0.0000 0.0000 0.5000 (multiplicity 1)
Os 0.0962 0.6224 0.2571 (multiplicity 6)

---

Diffraction record for Ac2UGe. The powder diffractogram is simulated, not measured: it uses the GGA-PBE geometry in Alexandria and Cu Kα (weighted mean of Kα1 and Kα2).

Main lines, low angle first (2θ = 10–90°):
hkl 0 0 9, 22.77 deg, intensity 48.3
hkl 1 0 1, 28.47 deg, intensity 99.4
hkl 0 1 2, 28.82 deg, intensity 75.3
hkl 0 0 12, 30.51 deg, intensity 27.6
hkl 0 1 8, 35.07 deg, intensity 33.9
hkl 1 0 10, 38.39 deg, intensity 100.0
hkl 0 1 11, 40.21 deg, intensity 45.9
hkl 1 1 0, 50.20 deg, intensity 45.5
hkl 1 1 9, 55.79 deg, intensity 27.3
hkl 0 1 20, 60.30 deg, intensity 29.2

Crystal structure
Unit cell a=3.6345 b=3.6345 c=35.1543 alpha=90.00 beta=90.00 gamma=120.00
Space group R-3m (No. 166, hexagonal axes)
One atom of each set of equivalent atoms:
Ac 0.0000 0.0000 0.0977 (multiplicity 6)
U 0.0000 0.0000 0.0000 (multiplicity 3)
Ge 0.0000 0.0000 0.5000 (multiplicity 3)

---

Diffraction record for Dy7Y4Mg. The powder diffractogram is simulated, not measured: it uses the GGA-PBE geometry in Alexandria and Cu Kα (weighted mean of Kα1 and Kα2).

Main lines, low angle first (2θ = 10–90°):
hkl 1 0 4, 30.90 deg, intensity 100.0
hkl 0 0 12, 31.24 deg, intensity 30.4
hkl 0 1 8, 35.93 deg, intensity 65.3
hkl 1 1 0, 51.50 deg, intensity 24.1
hkl 1 0 16, 51.94 deg, intensity 20.7
hkl 0 2 4, 61.27 deg, intensity 14.1
hkl 1 1 12, 61.47 deg, intensity 26.1
hkl 0 1 20, 61.87 deg, intensity 11.5
hkl 2 0 8, 64.39 deg, intensity 11.8
hkl 2 1 4, 84.08 deg, intensity 11.6

Crystal structure
Unit cell a=3.5491 b=3.5491 c=34.3611 alpha=90.00 beta=90.00 gamma=120.00
Space group P-3m1 (No. 164)
One atom of each set of equivalent atoms:
Dy 0.0000 0.0000 0.0000 (multiplicity 1)
Dy 0.0000 0.0000 0.2532 (multiplicity 2)
Dy 0.3333 0.6667 0.1693 (multiplicity 2)
Dy 0.3333 0.6667 0.4219 (multiplicity 2)
Y 0.3333 0.6667 0.6620 (multiplicity 2)
Y 0.3333 0.6667 0.9154 (multiplicity 2)
Mg 0.0000 0.0000 0.5000 (multiplicity 1)

---

Diffraction record for PaGa2Ni6. The powder diffractogram is simulated, not measured: it uses the GGA-PBE geometry in Alexandria and Cu Kα (weighted mean of Kα1 and Kα2).

Main lines, low angle first (2θ = 10–90°):
hkl 0 0 2, 14.25 deg, intensity 30.5
hkl 0 1 1, 16.06 deg, intensity 24.1
hkl 0 1 3, 25.91 deg, intensity 32.1
hkl 1 1 2, 33.78 deg, intensity 86.6
hkl 1 2 1, 40.51 deg, intensity 100.0
hkl 1 1 4, 42.36 deg, intensity 65.1
hkl 0 0 6, 43.69 deg, intensity 33.6
hkl 0 3 3, 49.54 deg, intensity 52.1
hkl 1 2 5, 54.85 deg, intensity 32.7
hkl 2 3 3, 77.18 deg, intensity 30.5

Crystal structure
Unit cell a=3.337 b=6.161 c=12.432 alpha=90.00 beta=90.00 gamma=90.00
Space group Immm (No. 71)
One atom of each set of equivalent atoms:
Pa 0.000 0.000 0.000 (multiplicity 2)
Ga 0.000 0.500 0.139 (multiplicity 4)
Ni 0.000 0.185 0.500 (multiplicity 4)
Ni 0.000 0.301 0.317 (multiplicity 8)

---

Diffraction record for Sm5HoZn4. The powder diffractogram is simulated, not measured: it uses the GGA-PBE geometry in Alexandria and Cu Kα (weighted mean of Kα1 and Kα2).

Main lines, low angle first (2θ = 10–90°):
hkl 1 0 0, 24.48 deg, intensity 9.6
hkl 1 0 4, 30.64 deg, intensity 13.5
hkl 1 0 5, 33.65 deg, intensity 100.0
hkl 1 1 0, 34.89 deg, intensity 62.4
hkl 1 0 6, 37.03 deg, intensity 15.2
hkl 2 0 0, 50.18 deg, intensity 22.1
hkl 1 0 11, 57.70 deg, intensity 7.3
hkl 2 1 5, 61.78 deg, intensity 34.1
hkl 1 1 11, 63.61 deg, intensity 9.6
hkl 3 1 0, 84.20 deg, intensity 9.8

Crystal structure
Unit cell a=3.636 b=3.636 c=19.566 alpha=90.00 beta=90.00 gamma=90.00
Space group P4/mmm (No. 123)
One atom of each set of equivalent atoms:
Sm 0.000 0.000 0.000 (multiplicity 1)
Sm 0.000 0.000 0.186 (multiplicity 2)
Sm 0.000 0.000 0.371 (multiplicity 2)
Ho 0.500 0.500 0.500 (multiplicity 1)
Zn 0.500 0.500 0.094 (multiplicity 2)
Zn 0.500 0.500 0.279 (multiplicity 2)

---

Diffraction record for ScGa6Ag12. The powder diffractogram is simulated, not measured: it uses the GGA-PBE geometry in Alexandria and Cu Kα (weighted mean of Kα1 and Kα2).

Main lines, low angle first (2θ = 10–90°):
hkl 1 1 0, 15.61 deg, intensity 21.9
hkl 1 2 2, 30.67 deg, intensity 29.8
hkl 4 0 1, 37.82 deg, intensity 100.0
hkl 3 1 2, 38.15 deg, intensity 38.2
hkl 1 0 4, 39.43 deg, intensity 28.8
hkl 0 3 3, 39.80 deg, intensity 78.7
hkl 3 2 1, 41.14 deg, intensity 34.2
hkl 0 4 2, 41.45 deg, intensity 28.1
hkl 0 2 4, 42.65 deg, intensity 18.1
hkl 3 0 6, 66.14 deg, intensity 19.4

Crystal structure
Unit cell a=11.3566 b=11.3566 c=9.3980 alpha=90.00 beta=90.00 gamma=120.00
Space group R-3 (No. 148, hexagonal axes)
One atom of each set of equivalent atoms:
Sc 0.0000 0.0000 0.0000 (multiplicity 3)
Ga 0.0862 0.9122 0.7466 (multiplicity 18)
Ag 0.0005 0.7375 0.9998 (multiplicity 18)
Ag 0.0729 0.5370 0.1195 (multiplicity 18)

---

Diffraction record for La3Pb4. The powder diffractogram is simulated, not measured: it uses the GGA-PBE geometry in Alexandria and Cu Kα (weighted mean of Kα1 and Kα2).

Main lines, low angle first (2θ = 10–90°):
hkl 0 2 2, 18.14 deg, intensity 12.8
hkl 1 1 1, 21.11 deg, intensity 11.9
hkl 1 3 0, 29.19 deg, intensity 35.3
hkl 1 1 4, 29.89 deg, intensity 100.0
hkl 1 3 2, 31.19 deg, intensity 25.5
hkl 1 3 3, 33.54 deg, intensity 31.3
hkl 0 4 4, 36.76 deg, intensity 27.0
hkl 2 0 0, 38.62 deg, intensity 28.2
hkl 2 4 4, 54.38 deg, intensity 19.8
hkl 1 3 10, 64.30 deg, intensity 12.4

Crystal structure
Unit cell a=4.663 b=12.163 c=16.450 alpha=90.00 beta=90.00 gamma=90.00
Space group Cmcm (No. 63)
One atom of each set of equivalent atoms:
La 0.000 0.058 0.250 (multiplicity 4)
La 0.000 0.333 0.097 (multiplicity 8)
Pb 0.000 0.000 0.000 (multiplicity 4)
Pb 0.000 0.208 0.750 (multiplicity 4)
Pb 0.000 0.377 0.608 (multiplicity 8)